For Eu5P3O12F, a crystal structure in the Materials Project, relaxed with GGA-PBE gives the simulated XRD peak list in this record (Cu Kα (weighted mean of Kα1 and Kα2)).

Atomic structure:
```
Eu5P3O12F
1.0
9.853 0.000 0.000
-4.927 8.533 0.000
0.000 0.000 7.317
Eu P O F
10 6 24 2
direct
0.010 0.252 0.250
0.242 0.990 0.250
0.252 0.242 0.750
0.333 0.667 0.000
0.333 0.667 0.500
0.667 0.333 0.000
0.667 0.333 0.500
0.748 0.758 0.250
0.758 0.010 0.750
0.990 0.748 0.750
0.030 0.398 0.750
0.368 0.970 0.750
0.398 0.368 0.250
0.602 0.632 0.750
0.632 0.030 0.250
0.970 0.602 0.250
0.083 0.344 0.578
0.083 0.344 0.922
0.118 0.582 0.750
0.151 0.671 0.250
0.261 0.917 0.578
0.261 0.917 0.922
0.329 0.480 0.250
0.344 0.261 0.078
0.344 0.261 0.422
0.418 0.536 0.750
0.464 0.882 0.750
0.480 0.151 0.750
0.520 0.849 0.250
0.536 0.118 0.250
0.582 0.464 0.250
0.656 0.739 0.578
0.656 0.739 0.922
0.671 0.520 0.750
0.739 0.083 0.078
0.739 0.083 0.422
0.849 0.329 0.750
0.882 0.418 0.250
0.917 0.656 0.078
0.917 0.656 0.422
0.000 0.000 0.250
0.000 0.000 0.750
```

Top 10 peaks for 5° ≤ 2θ ≤ 70°, sorted by position:
d/Å, I (rel.)
4.267, 317
4.087, 285
3.362, 437
3.225, 400
2.951, 1000
2.937, 807
2.844, 505
2.043, 347
1.945, 336
1.843, 348